The following is a computed X-ray diffraction stick pattern of HoU2O7. It was derived from a DFT-relaxed cell (PBE, Alexandria), using Cu Kα (weighted mean of Kα1 and Kα2).

Top 8 peaks for 2θ from 10° to 90°, sorted by position:
26.25°, I 47; 27.06°, I 31; 27.53°, I 100; 30.68°, I 59; 33.96°, I 68; 47.50°, I 60; 50.03°, I 45; 55.08°, I 37

Structure:
```
data_HoU2O7
_space_group_name_H-M_alt 'P 1'
_space_group_IT_number 1
_cell_length_a 10.4234
_cell_length_b 10.4234
_cell_length_c 10.4234
_cell_angle_alpha 21.16
_cell_angle_beta 21.16
_cell_angle_gamma 21.16
loop_
_space_group_symop_operation_xyz
'x,y,z'
loop_
_atom_site_label
_atom_site_type_symbol
_atom_site_fract_x
_atom_site_fract_y
_atom_site_fract_z
Ho1 Ho 0.0000 0.0000 0.0000
U1 U 0.4320 0.4320 0.4320
U2 U 0.5680 0.5680 0.5680
O1 O 0.0766 0.0766 0.0766
O2 O 0.2203 0.2203 0.2203
O3 O 0.3616 0.3616 0.3616
O4 O 0.5000 0.5000 0.5000
O5 O 0.6384 0.6384 0.6384
O6 O 0.7797 0.7797 0.7797
O7 O 0.9234 0.9234 0.9234
```